[1]
# Th7Ir3
Computed powder diffractogram, Cu Kα, 1.54184 Å. Input: the PBE geometry in the Materials Project.

Atomic structure:
a = 10.0884 Å, b = 10.0884 Å, c = 6.3121 Å
α = 90.00°, β = 90.00°, γ = 120.00°
Fractional coordinates of all 20 atoms:
Th (0.0846, 0.5423, 0.0000)
Th (0.1284, 0.2569, 0.7058)
Th (0.1284, 0.8716, 0.7058)
Th (0.2569, 0.1284, 0.2058)
Th (0.3333, 0.6667, 0.5127)
Th (0.4577, 0.5423, 0.0000)
Th (0.4577, 0.9154, 0.0000)
Th (0.5423, 0.0846, 0.5000)
Th (0.5423, 0.4577, 0.5000)
Th (0.6667, 0.3333, 0.0127)
Th (0.7431, 0.8716, 0.7058)
Th (0.8716, 0.1284, 0.2058)
Th (0.8716, 0.7431, 0.2058)
Th (0.9154, 0.4577, 0.5000)
Ir (0.1871, 0.3742, 0.2604)
Ir (0.1871, 0.8129, 0.2604)
Ir (0.3742, 0.1871, 0.7604)
Ir (0.6258, 0.8129, 0.2604)
Ir (0.8129, 0.1871, 0.7604)
Ir (0.8129, 0.6258, 0.7604)

Most intense lines, 2θ from 10° to 90°, low angle first:
d 2.968, 2θ 30.11, I 437
d 2.926, 2θ 30.55, I 1000
d 2.912, 2θ 30.70, I 198
d 2.644, 2θ 33.90, I 621
d 2.558, 2θ 35.08, I 548
d 2.522, 2θ 35.60, I 492
d 1.705, 2θ 53.75, I 256
d 1.692, 2θ 54.21, I 235
d 1.683, 2θ 54.53, I 412
d 1.366, 2θ 68.72, I 152

=====

[2]
# Th4Ir
Computed powder diffractogram, Cu Kα, 1.54184 Å. Input: the PBE geometry in the Materials Project.

Atomic structure:
a = 7.8813 Å, b = 7.8813 Å, c = 7.8813 Å
α = 60.00°, β = 60.00°, γ = 60.00°
Fractional coordinates of all 10 atoms:
Th (0.2083, 0.7639, 0.7639)
Th (0.2361, 0.2361, 0.2361)
Th (0.2361, 0.2361, 0.7917)
Th (0.2361, 0.7917, 0.2361)
Th (0.7639, 0.2083, 0.7639)
Th (0.7639, 0.7639, 0.2083)
Th (0.7639, 0.7639, 0.7639)
Th (0.7917, 0.2361, 0.2361)
Ir (0.3750, 0.3750, 0.3750)
Ir (0.6250, 0.6250, 0.6250)

Most intense lines, 2θ from 10° to 90°, low angle first:
d 3.941, 2θ 22.56, I 160
d 3.218, 2θ 27.73, I 1000
d 2.786, 2θ 32.12, I 300
d 2.557, 2θ 35.09, I 227
d 2.145, 2θ 42.13, I 230
d 1.970, 2θ 46.07, I 511
d 1.680, 2θ 54.62, I 369
d 1.362, 2θ 68.97, I 108
d 1.279, 2θ 74.17, I 117
d 1.138, 2θ 85.33, I 121

=====

[3]
# Ti3Ir
Computed powder diffractogram, Cu Kα, 1.54184 Å. Input: the PBE geometry in the Materials Project.

Atomic structure:
a = 5.0167 Å, b = 5.0167 Å, c = 5.0167 Å
α = 90.00°, β = 90.00°, γ = 90.00°
Fractional coordinates of all 8 atoms:
Ti (0.0000, 0.2500, 0.5000)
Ti (0.0000, 0.7500, 0.5000)
Ti (0.2500, 0.5000, 0.0000)
Ti (0.5000, 0.0000, 0.2500)
Ti (0.5000, 0.0000, 0.7500)
Ti (0.7500, 0.5000, 0.0000)
Ir (0.0000, 0.0000, 0.0000)
Ir (0.5000, 0.5000, 0.5000)

Most intense lines, 2θ from 10° to 90°, low angle first:
d 3.547, 2θ 25.10, I 787
d 2.508, 2θ 35.80, I 453
d 2.244, 2θ 40.19, I 206
d 2.048, 2θ 44.22, I 1000
d 1.774, 2θ 51.53, I 122
d 1.586, 2θ 58.15, I 172
d 1.341, 2θ 70.20, I 500
d 1.254, 2θ 75.86, I 93
d 1.182, 2θ 81.38, I 104
d 1.122, 2θ 86.82, I 145

=====

[4]
# TiIr
Computed powder diffractogram, Cu Kα, 1.54184 Å. Input: the PBE geometry in the Materials Project.

Atomic structure:
a = 2.9427 Å, b = 2.9427 Å, c = 3.4953 Å
α = 90.00°, β = 90.00°, γ = 90.00°
Fractional coordinates of all 2 atoms:
Ti (0.0000, 0.0000, 0.0000)
Ir (0.5000, 0.5000, 0.5000)

Most intense lines, 2θ from 10° to 90°, low angle first:
d 3.495, 2θ 25.48, I 286
d 2.943, 2θ 30.37, I 372
d 2.251, 2θ 40.05, I 1000
d 2.081, 2θ 43.49, I 395
d 1.788, 2θ 51.08, I 188
d 1.748, 2θ 52.35, I 114
d 1.471, 2θ 63.20, I 129
d 1.338, 2θ 70.35, I 187
d 1.232, 2θ 77.50, I 285
d 1.126, 2θ 86.46, I 110

=====

[5]
# TiIr
Computed powder diffractogram, Cu Kα, 1.54184 Å. Input: the PBE geometry in the Materials Project.

Atomic structure:
a = 3.1216 Å, b = 3.1216 Å, c = 3.1216 Å
α = 90.00°, β = 90.00°, γ = 90.00°
Fractional coordinates of all 2 atoms:
Ti (0.0000, 0.0000, 0.0000)
Ir (0.5000, 0.5000, 0.5000)

Most intense lines, 2θ from 10° to 90°, low angle first:
d 3.122, 2θ 28.60, I 458
d 2.207, 2θ 40.88, I 1000
d 1.802, 2θ 50.65, I 136
d 1.561, 2θ 59.20, I 167
d 1.396, 2θ 67.04, I 183
d 1.274, 2θ 74.45, I 337
d 1.104, 2θ 88.61, I 111

=====

[6]
# Ti2VIr
Computed powder diffractogram, Cu Kα, 1.54184 Å. Input: the PBE geometry in the Materials Project.

Atomic structure:
a = 4.3984 Å, b = 4.3984 Å, c = 4.3984 Å
α = 60.00°, β = 60.00°, γ = 60.00°
Fractional coordinates of all 4 atoms:
Ti (0.2500, 0.2500, 0.2500)
Ti (0.7500, 0.7500, 0.7500)
V (0.0000, 0.0000, 0.0000)
Ir (0.5000, 0.5000, 0.5000)

Most intense lines, 2θ from 10° to 90°, low angle first:
d 3.591, 2θ 24.79, I 423
d 3.110, 2θ 28.70, I 241
d 2.199, 2θ 41.04, I 1000
d 1.875, 2θ 48.54, I 225
d 1.555, 2θ 59.44, I 162
d 1.427, 2θ 65.40, I 96
d 1.391, 2θ 67.32, I 96
d 1.270, 2θ 74.77, I 321
d 1.197, 2θ 80.18, I 75
d 1.100, 2θ 89.03, I 105